No. 1
The following is a simulated X-ray powder pattern of ThFe5H11. It was derived from a structure optimized by DFT (PBE), using Cu Ka.
Lines closer than 0.1° are merged.

Most intense lines, 2θ = 10–90°, by intensity:
2θ 27.2, I = 100; 2θ 29.3, I = 53; 2θ 20.9, I = 53; 2θ 38.9, I = 51; 2θ 29.7, I = 40; 2θ 42.5, I = 39; 2θ 34.9, I = 37; 2θ 31.8, I = 36; 2θ 37.6, I = 34; 2θ 14.6, I = 31; 2θ 44.9, I = 27; 2θ 44.2, I = 25

```
data_ThFe5H11
_chemical_formula_sum 'Th1 Fe5 H11'
_cell_length_a 4.8039
_cell_length_b 4.8039
_cell_length_c 6.6431
_cell_angle_alpha 103.92
_cell_angle_beta 103.92
_cell_angle_gamma 108.18
_space_group_name_H-M_alt 'P 1'
_space_group_IT_number 1
loop_
_space_group_symop_operation_xyz
'x,y,z'
loop_
_atom_site_label
_atom_site_type_symbol
_atom_site_fract_x
_atom_site_fract_y
_atom_site_fract_z
Th1 Th 0.0000 0.0000 0.0000
Fe1 Fe 0.2613 0.5845 0.6455
Fe2 Fe 0.4155 0.7387 0.3545
Fe3 Fe 0.5000 0.5000 0.0000
Fe4 Fe 0.5845 0.2613 0.6455
Fe5 Fe 0.7387 0.4155 0.3545
H1 H 0.0861 0.4223 0.3530
H2 H 0.2166 0.5673 0.0823
H3 H 0.2580 0.2580 0.7493
H4 H 0.4223 0.0861 0.3530
H5 H 0.4327 0.7834 0.9177
H6 H 0.5000 0.5000 0.5000
H7 H 0.5673 0.2166 0.0823
H8 H 0.5777 0.9139 0.6470
H9 H 0.7420 0.7420 0.2507
H10 H 0.7834 0.4327 0.9177
H11 H 0.9139 0.5777 0.6470
```

***

No. 2
The following is a simulated X-ray powder pattern of Ca3B3N5. It was derived from a structure optimized by DFT (PBE), using Cu Ka.
Lines closer than 0.1° are merged.

Most intense lines, 2θ = 10–90°, by intensity:
2θ 36.6, I = 100; 2θ 40.2, I = 94; 2θ 34.8, I = 81; 2θ 37.9, I = 77; 2θ 34.4, I = 73; 2θ 34.0, I = 64; 2θ 24.7, I = 61; 2θ 35.9, I = 51; 2θ 47.9, I = 49; 2θ 35.3, I = 49; 2θ 28.6, I = 45; 2θ 35.7, I = 42

```
data_Ca3B3N5
_chemical_formula_sum 'Ca6 B6 N10'
_cell_length_a 5.6275
_cell_length_b 6.2479
_cell_length_c 7.8168
_cell_angle_alpha 69.76
_cell_angle_beta 69.11
_cell_angle_gamma 89.38
_space_group_name_H-M_alt 'P 1'
_space_group_IT_number 1
loop_
_space_group_symop_operation_xyz
'x,y,z'
loop_
_atom_site_label
_atom_site_type_symbol
_atom_site_fract_x
_atom_site_fract_y
_atom_site_fract_z
Ca1 Ca 0.0813 0.1887 0.2915
Ca2 Ca 0.2590 0.8914 0.8956
Ca3 Ca 0.2786 0.6487 0.3593
Ca4 Ca 0.7214 0.3513 0.6407
Ca5 Ca 0.7410 0.1086 0.1044
Ca6 Ca 0.9187 0.8113 0.7085
B1 B 0.2333 0.3663 0.7506
B2 B 0.3909 0.4622 0.9267
B3 B 0.4586 0.1743 0.4742
B4 B 0.5414 0.8257 0.5258
B5 B 0.6091 0.5378 0.0733
B6 B 0.7667 0.6337 0.2494
N1 N 0.2022 0.2623 0.6130
N2 N 0.2290 0.2376 0.9512
N3 N 0.3185 0.5486 0.0994
N4 N 0.3509 0.6051 0.7115
N5 N 0.3741 0.9814 0.4118
N6 N 0.6259 0.0186 0.5882
N7 N 0.6491 0.3949 0.2885
N8 N 0.6815 0.4514 0.9006
N9 N 0.7710 0.7624 0.0488
N10 N 0.7978 0.7377 0.3870
```

***

No. 3
The following is a simulated X-ray powder pattern of H3Pd8Au2. It was derived from a structure optimized by DFT (PBE), using Cu Ka.
Lines closer than 0.1° are merged.

Most intense lines, 2θ = 10–90°, by intensity:
2θ 41.2, I = 100; 2θ 41.3, I = 49; 2θ 38.1, I = 41; 2θ 36.4, I = 22; 2θ 70.9, I = 20; 2θ 53.7, I = 19; 2θ 65.6, I = 17; 2θ 36.5, I = 12; 2θ 80.3, I = 10; 2θ 78.2, I = 10; 2θ 78.4, I = 10; 2θ 71.1, I = 10

```
data_H3Pd8Au2
_chemical_formula_sum 'H3 Pd8 Au2'
_cell_length_a 2.8560
_cell_length_b 6.8200
_cell_length_c 8.8938
_cell_angle_alpha 103.37
_cell_angle_beta 99.18
_cell_angle_gamma 90.06
_space_group_name_H-M_alt 'P 1'
_space_group_IT_number 1
loop_
_space_group_symop_operation_xyz
'x,y,z'
loop_
_atom_site_label
_atom_site_type_symbol
_atom_site_fract_x
_atom_site_fract_y
_atom_site_fract_z
H1 H 0.0000 0.0000 0.0000
H2 H 0.3041 0.8819 0.5993
H3 H 0.6965 0.1108 0.4030
Pd1 Pd 0.0146 0.7116 0.0298
Pd2 Pd 0.1821 0.8793 0.3634
Pd3 Pd 0.2144 0.3151 0.4299
Pd4 Pd 0.4150 0.9134 0.8318
Pd5 Pd 0.5815 0.0784 0.1628
Pd6 Pd 0.7820 0.6770 0.5643
Pd7 Pd 0.8143 0.1127 0.6310
Pd8 Pd 0.9819 0.2806 0.9647
Au1 Au 0.3817 0.4772 0.7649
Au2 Au 0.6149 0.5149 0.2297
```

***

No. 4
The following is a simulated X-ray powder pattern of Ba2NaAl2. It was derived from a structure optimized by DFT (PBE), using Cu Ka.
Lines closer than 0.1° are merged.

Most intense lines, 2θ = 10–90°, by intensity:
2θ 27.2, I = 100; 2θ 26.7, I = 79; 2θ 18.8, I = 51; 2θ 33.3, I = 46; 2θ 19.5, I = 44; 2θ 47.5, I = 43; 2θ 38.2, I = 30; 2θ 44.2, I = 29; 2θ 59.8, I = 23; 2θ 43.2, I = 22; 2θ 48.4, I = 14; 2θ 62.3, I = 14

```
data_Ba2NaAl2
_chemical_formula_sum 'Ba4 Na2 Al4'
_cell_length_a 6.6677
_cell_length_b 6.6677
_cell_length_c 9.1025
_cell_angle_alpha 90.00
_cell_angle_beta 90.00
_cell_angle_gamma 90.00
_space_group_name_H-M_alt 'P 1'
_space_group_IT_number 1
loop_
_space_group_symop_operation_xyz
'x,y,z'
loop_
_atom_site_label
_atom_site_type_symbol
_atom_site_fract_x
_atom_site_fract_y
_atom_site_fract_z
Ba1 Ba 0.0000 0.5000 0.2500
Ba2 Ba 0.0000 0.5000 0.7500
Ba3 Ba 0.5000 0.0000 0.2500
Ba4 Ba 0.5000 0.0000 0.7500
Na1 Na 0.0000 0.0000 0.0000
Na2 Na 0.5000 0.5000 0.5000
Al1 Al 0.0000 0.0000 0.3627
Al2 Al 0.0000 0.0000 0.6373
Al3 Al 0.5000 0.5000 0.1373
Al4 Al 0.5000 0.5000 0.8627
```

***

No. 5
The following is a simulated X-ray powder pattern of Nd5HgTe5. It was derived from a structure optimized by DFT (PBE), using Cu Ka.
Lines closer than 0.1° are merged.

Most intense lines, 2θ = 10–90°, by intensity:
2θ 28.2, I = 100; 2θ 40.2, I = 97; 2θ 28.1, I = 51; 2θ 49.9, I = 42; 2θ 40.4, I = 19; 2θ 66.1, I = 18; 2θ 66.0, I = 14; 2θ 73.0, I = 13; 2θ 73.2, I = 13; 2θ 73.3, I = 13; 2θ 58.4, I = 13; 2θ 65.7, I = 9

```
data_Nd5HgTe5
_chemical_formula_sum 'Nd5 Hg1 Te5'
_cell_length_a 7.7601
_cell_length_b 7.7601
_cell_length_c 8.9307
_cell_angle_alpha 106.79
_cell_angle_beta 106.79
_cell_angle_gamma 48.39
_space_group_name_H-M_alt 'P 1'
_space_group_IT_number 1
loop_
_space_group_symop_operation_xyz
'x,y,z'
loop_
_atom_site_label
_atom_site_type_symbol
_atom_site_fract_x
_atom_site_fract_y
_atom_site_fract_z
Nd1 Nd 0.0000 0.0000 0.0000
Nd2 Nd 0.3343 0.3343 0.1689
Nd3 Nd 0.3344 0.3344 0.6644
Nd4 Nd 0.6656 0.6656 0.3356
Nd5 Nd 0.6657 0.6657 0.8311
Hg1 Hg 0.5000 0.5000 0.0000
Te1 Te 0.1647 0.1647 0.8288
Te2 Te 0.1669 0.1669 0.3361
Te3 Te 0.5000 0.5000 0.5000
Te4 Te 0.8331 0.8331 0.6639
Te5 Te 0.8353 0.8353 0.1712
```

***

No. 6
The following is a simulated X-ray powder pattern of LaPm5N4. It was derived from a structure optimized by DFT (PBE), using Cu Ka.
Lines closer than 0.1° are merged.

Most intense lines, 2θ = 10–90°, by intensity:
2θ 30.2, I = 100; 2θ 34.4, I = 87; 2θ 29.6, I = 51; 2θ 29.3, I = 50; 2θ 34.8, I = 44; 2θ 50.0, I = 31; 2θ 49.5, I = 29; 2θ 59.5, I = 29; 2θ 62.8, I = 15; 2θ 50.5, I = 15; 2θ 59.6, I = 15; 2θ 48.5, I = 14

```
data_LaPm5N4
_chemical_formula_sum 'La1 Pm5 N4'
_cell_length_a 8.1498
_cell_length_b 8.1498
_cell_length_c 7.5041
_cell_angle_alpha 102.66
_cell_angle_beta 102.66
_cell_angle_gamma 25.63
_space_group_name_H-M_alt 'P 1'
_space_group_IT_number 1
loop_
_space_group_symop_operation_xyz
'x,y,z'
loop_
_atom_site_label
_atom_site_type_symbol
_atom_site_fract_x
_atom_site_fract_y
_atom_site_fract_z
La1 La 0.0000 0.0000 0.0000
Pm1 Pm 0.0000 0.0000 0.5000
Pm2 Pm 0.3343 0.3343 0.1486
Pm3 Pm 0.3397 0.3397 0.6941
Pm4 Pm 0.6603 0.6603 0.3059
Pm5 Pm 0.6657 0.6657 0.8514
N1 N 0.1705 0.1705 0.0859
N2 N 0.4960 0.4960 0.7389
N3 N 0.5040 0.5040 0.2611
N4 N 0.8295 0.8295 0.9141
```

***

No. 7
The following is a simulated X-ray powder pattern of EuDyLuMg. It was derived from a structure optimized by DFT (PBE), using Cu Ka.
Lines closer than 0.1° are merged.

Most intense lines, 2θ = 10–90°, by intensity:
2θ 32.2, I = 100; 2θ 57.4, I = 39; 2θ 19.6, I = 19; 2θ 46.2, I = 18; 2θ 76.6, I = 17; 2θ 67.4, I = 12; 2θ 37.9, I = 11; 2θ 22.6, I = 6; 2θ 50.6, I = 5; 2θ 85.6, I = 4; 2θ 61.2, I = 4; 2θ 70.9, I = 4

```
data_EuDyLuMg
_chemical_formula_sum 'Eu4 Dy4 Lu4 Mg4'
_cell_length_a 7.8642
_cell_length_b 7.8642
_cell_length_c 7.8642
_cell_angle_alpha 90.00
_cell_angle_beta 90.00
_cell_angle_gamma 90.00
_space_group_name_H-M_alt 'P 1'
_space_group_IT_number 1
loop_
_space_group_symop_operation_xyz
'x,y,z'
loop_
_atom_site_label
_atom_site_type_symbol
_atom_site_fract_x
_atom_site_fract_y
_atom_site_fract_z
Eu1 Eu 0.0000 0.0000 0.0000
Eu2 Eu 0.0000 0.5000 0.5000
Eu3 Eu 0.5000 0.0000 0.5000
Eu4 Eu 0.5000 0.5000 0.0000
Dy1 Dy 0.0000 0.0000 0.5000
Dy2 Dy 0.0000 0.5000 0.0000
Dy3 Dy 0.5000 0.0000 0.0000
Dy4 Dy 0.5000 0.5000 0.5000
Lu1 Lu 0.2500 0.2500 0.7500
Lu2 Lu 0.2500 0.7500 0.2500
Lu3 Lu 0.7500 0.2500 0.2500
Lu4 Lu 0.7500 0.7500 0.7500
Mg1 Mg 0.2500 0.2500 0.2500
Mg2 Mg 0.2500 0.7500 0.7500
Mg3 Mg 0.7500 0.2500 0.7500
Mg4 Mg 0.7500 0.7500 0.2500
```

***

No. 8
The following is a simulated X-ray powder pattern of Pr2DyRh2. It was derived from a structure optimized by DFT (PBE), using Cu Ka.
Lines closer than 0.1° are merged.

Most intense lines, 2θ = 10–90°, by intensity:
2θ 30.8, I = 100; 2θ 34.3, I = 94; 2θ 37.1, I = 87; 2θ 32.3, I = 83; 2θ 33.2, I = 76; 2θ 34.0, I = 61; 2θ 46.5, I = 57; 2θ 55.7, I = 40; 2θ 27.9, I = 38; 2θ 66.6, I = 31; 2θ 31.3, I = 25; 2θ 28.9, I = 25

```
data_Pr2DyRh2
_chemical_formula_sum 'Pr4 Dy2 Rh4'
_cell_length_a 6.8652
_cell_length_b 6.8652
_cell_length_c 11.4964
_cell_angle_alpha 118.26
_cell_angle_beta 118.26
_cell_angle_gamma 33.05
_space_group_name_H-M_alt 'P 1'
_space_group_IT_number 1
loop_
_space_group_symop_operation_xyz
'x,y,z'
loop_
_atom_site_label
_atom_site_type_symbol
_atom_site_fract_x
_atom_site_fract_y
_atom_site_fract_z
Pr1 Pr 0.0412 0.0412 0.1899
Pr2 Pr 0.1592 0.1592 0.5733
Pr3 Pr 0.8408 0.8408 0.4267
Pr4 Pr 0.9588 0.9588 0.8101
Dy1 Dy 0.2928 0.2928 0.1374
Dy2 Dy 0.7072 0.7072 0.8626
Rh1 Rh 0.3765 0.3765 0.9474
Rh2 Rh 0.4935 0.4935 0.6245
Rh3 Rh 0.5065 0.5065 0.3755
Rh4 Rh 0.6235 0.6235 0.0526
```

***

No. 9
The following is a simulated X-ray powder pattern of La2TlAsO5. It was derived from a structure optimized by DFT (PBE), using Cu Ka.
Lines closer than 0.1° are merged.

Most intense lines, 2θ = 10–90°, by intensity:
2θ 29.4, I = 100; 2θ 32.1, I = 23; 2θ 36.2, I = 19; 2θ 41.4, I = 18; 2θ 47.3, I = 17; 2θ 23.1, I = 17; 2θ 52.2, I = 17; 2θ 89.9, I = 15; 2θ 61.0, I = 14; 2θ 40.6, I = 14; 2θ 53.9, I = 10; 2θ 51.0, I = 9

```
data_La2TlAsO5
_chemical_formula_sum 'La4 Tl2 As2 O10'
_cell_length_a 7.0201
_cell_length_b 7.0201
_cell_length_c 6.0712
_cell_angle_alpha 90.00
_cell_angle_beta 90.00
_cell_angle_gamma 90.00
_space_group_name_H-M_alt 'P 1'
_space_group_IT_number 1
loop_
_space_group_symop_operation_xyz
'x,y,z'
loop_
_atom_site_label
_atom_site_type_symbol
_atom_site_fract_x
_atom_site_fract_y
_atom_site_fract_z
La1 La 0.1794 0.3206 0.0000
La2 La 0.3206 0.8206 0.0000
La3 La 0.6794 0.1794 0.0000
La4 La 0.8206 0.6794 0.0000
Tl1 Tl 0.0000 0.0000 0.5000
Tl2 Tl 0.5000 0.5000 0.5000
As1 As 0.0000 0.5000 0.5000
As2 As 0.5000 0.0000 0.5000
O1 O 0.0000 0.0000 0.0000
O2 O 0.1336 0.6336 0.2472
O3 O 0.1336 0.6336 0.7528
O4 O 0.3664 0.1336 0.2472
O5 O 0.3664 0.1336 0.7528
O6 O 0.5000 0.5000 0.0000
O7 O 0.6336 0.8664 0.2472
O8 O 0.6336 0.8664 0.7528
O9 O 0.8664 0.3664 0.2472
O10 O 0.8664 0.3664 0.7528
```

***

No. 10
The following is a simulated X-ray powder pattern of Na3LiPa2Te6. It was derived from a structure optimized by DFT (PBE), using Cu Ka.
Lines closer than 0.1° are merged.

Most intense lines, 2θ = 10–90°, by intensity:
2θ 28.1, I = 100; 2θ 39.7, I = 38; 2θ 40.8, I = 37; 2θ 11.8, I = 33; 2θ 50.3, I = 21; 2θ 66.7, I = 17; 2θ 65.1, I = 16; 2θ 58.2, I = 12; 2θ 73.5, I = 12; 2θ 23.5, I = 12; 2θ 36.4, I = 11; 2θ 13.9, I = 11

```
data_Na3LiPa2Te6
_chemical_formula_sum 'Na3 Li1 Pa2 Te6'
_cell_length_a 7.6634
_cell_length_b 7.6634
_cell_length_c 7.9479
_cell_angle_alpha 99.25
_cell_angle_beta 99.25
_cell_angle_gamma 119.97
_space_group_name_H-M_alt 'P 1'
_space_group_IT_number 1
loop_
_space_group_symop_operation_xyz
'x,y,z'
loop_
_atom_site_label
_atom_site_type_symbol
_atom_site_fract_x
_atom_site_fract_y
_atom_site_fract_z
Na1 Na 0.0000 0.0000 0.0000
Na2 Na 0.3337 0.6663 0.0000
Na3 Na 0.6663 0.3337 0.0000
Li1 Li 0.5000 0.5000 0.5000
Pa1 Pa 0.1666 0.8334 0.5000
Pa2 Pa 0.8334 0.1666 0.5000
Te1 Te 0.0867 0.4230 0.2692
Te2 Te 0.2407 0.2407 0.7320
Te3 Te 0.4230 0.0867 0.2692
Te4 Te 0.5770 0.9133 0.7308
Te5 Te 0.7593 0.7593 0.2680
Te6 Te 0.9133 0.5770 0.7308
```

***

No. 11
The following is a simulated X-ray powder pattern of Sr2Ga6Ag3. It was derived from a structure optimized by DFT (PBE), using Cu Ka.
Lines closer than 0.1° are merged.

Most intense lines, 2θ = 10–90°, by intensity:
2θ 31.1, I = 100; 2θ 41.1, I = 31; 2θ 41.0, I = 23; 2θ 42.5, I = 23; 2θ 16.2, I = 22; 2θ 43.4, I = 17; 2θ 35.3, I = 17; 2θ 53.4, I = 17; 2θ 52.3, I = 13; 2θ 23.3, I = 12; 2θ 61.4, I = 12; 2θ 33.8, I = 11

```
data_Sr2Ga6Ag3
_chemical_formula_sum 'Sr2 Ga6 Ag3'
_cell_length_a 7.6284
_cell_length_b 7.6284
_cell_length_c 4.3878
_cell_angle_alpha 90.00
_cell_angle_beta 90.00
_cell_angle_gamma 91.89
_space_group_name_H-M_alt 'P 1'
_space_group_IT_number 1
loop_
_space_group_symop_operation_xyz
'x,y,z'
loop_
_atom_site_label
_atom_site_type_symbol
_atom_site_fract_x
_atom_site_fract_y
_atom_site_fract_z
Sr1 Sr 0.2225 0.7775 0.0000
Sr2 Sr 0.7775 0.2225 0.0000
Ga1 Ga 0.1121 0.1121 0.5000
Ga2 Ga 0.1537 0.4440 0.5000
Ga3 Ga 0.4440 0.1537 0.5000
Ga4 Ga 0.5560 0.8463 0.5000
Ga5 Ga 0.8463 0.5560 0.5000
Ga6 Ga 0.8879 0.8879 0.5000
Ag1 Ag 0.2725 0.2725 0.0000
Ag2 Ag 0.5000 0.5000 0.5000
Ag3 Ag 0.7275 0.7275 0.0000
```

***

No. 12
The following is a simulated X-ray powder pattern of NaInGaCl3. It was derived from a structure optimized by DFT (PBE), using Cu Ka.
Lines closer than 0.1° are merged.

Most intense lines, 2θ = 10–90°, by intensity:
2θ 27.6, I = 100; 2θ 31.2, I = 69; 2θ 25.0, I = 39; 2θ 16.6, I = 33; 2θ 26.6, I = 32; 2θ 41.1, I = 32; 2θ 43.1, I = 31; 2θ 37.0, I = 30; 2θ 27.9, I = 28; 2θ 41.8, I = 27; 2θ 29.3, I = 25; 2θ 49.2, I = 25

```
data_NaInGaCl3
_chemical_formula_sum 'Na2 In2 Ga2 Cl6'
_cell_length_a 8.1727
_cell_length_b 8.1727
_cell_length_c 6.9791
_cell_angle_alpha 97.20
_cell_angle_beta 97.20
_cell_angle_gamma 126.04
_space_group_name_H-M_alt 'P 1'
_space_group_IT_number 1
loop_
_space_group_symop_operation_xyz
'x,y,z'
loop_
_atom_site_label
_atom_site_type_symbol
_atom_site_fract_x
_atom_site_fract_y
_atom_site_fract_z
Na1 Na 0.0630 0.9370 0.7500
Na2 Na 0.9370 0.0630 0.2500
In1 In 0.2343 0.7657 0.2500
In2 In 0.7657 0.2343 0.7500
Ga1 Ga 0.4365 0.5635 0.7500
Ga2 Ga 0.5635 0.4365 0.2500
Cl1 Cl 0.1465 0.2898 0.9816
Cl2 Cl 0.2507 0.7493 0.7500
Cl3 Cl 0.2898 0.1465 0.4816
Cl4 Cl 0.7102 0.8535 0.5184
Cl5 Cl 0.7493 0.2507 0.2500
Cl6 Cl 0.8535 0.7102 0.0184
```